Calculated PXRD pattern
Compound: Nd5Sb4Te
Radiation: Cu Kα (λ = 1.5418 Å)
Structure: a crystal structure in Alexandria, relaxed with PBE
Neutral-atom scattering factors, no anomalous dispersion.

Structure:
Cell lengths 10.111, 10.111, 6.394 Å; angles 90.00, 90.00, 90.00 degrees
Space group I4/m (No. 87)
Unique sites:
Nd1 0.000 0.000 0.000
Nd2 0.102 0.696 0.500
Sb1 0.101 0.701 0.000
Te1 0.000 0.000 0.500

Largest 9 diffraction maxima, in order of rising 2θ, 2θ from 10° to 90°:
index  2θ (°)  I/Imax
1 2 1  24.11  1.4
0 0 2  27.91  100.0
3 1 2  39.88  76.5
1 2 3  47.14  0.7
2 4 2  49.37  27.4
0 0 4  57.66  12.8
3 1 4  65.25  35.2
2 4 4  72.40  25.9
6 2 4  86.00  8.4

Calculated PXRD pattern
Compound: PtF5
Radiation: Cu Kα (λ = 1.5418 Å)
Structure: a crystal structure in Alexandria, relaxed with PBE
Neutral-atom scattering factors, no anomalous dispersion.

Structure:
Cell lengths 5.693, 10.159, 12.679 Å; angles 90.00, 101.34, 90.00 degrees
Space group P2_1/c (No. 14)
Unique sites:
Pt1 0.001 0.248 0.002
Pt2 0.298 0.502 0.698
F1 0.021 0.069 0.240
F2 0.099 0.173 0.639
F3 0.102 0.667 0.648
F4 0.184 0.602 0.049
F5 0.198 0.083 0.050
F6 0.267 0.668 0.455
F7 0.272 0.181 0.455
F8 0.392 0.586 0.833
F9 0.435 0.076 0.850
F10 0.480 0.149 0.249

Largest 10 diffraction maxima, in order of rising 2θ, 2θ from 10° to 90°:
index  2θ (°)  I/Imax
1 1 -1  18.31  33.2
1 0 -2  19.17  76.0
1 1 1  20.62  38.4
0 2 2  22.61  100.0
1 2 0  23.68  45.1
1 2 2  29.36  26.4
2 0 -2  32.47  20.2
1 2 -4  34.95  20.9
2 2 0  36.74  24.1
2 4 2  52.74  26.1

Calculated PXRD pattern
Compound: CeErTm2
Radiation: Cu Kα (λ = 1.5418 Å)
Structure: a crystal structure in Alexandria, relaxed with PBE
Neutral-atom scattering factors, no anomalous dispersion.

Structure:
Cell lengths 3.5320, 3.5320, 11.2680 Å; angles 90.00, 90.00, 120.00 degrees
Space group P-6m2 (No. 187)
Unique sites:
Ce1 0.0000 0.0000 0.0000
Er1 0.0000 0.0000 0.5000
Tm1 0.3333 0.6667 0.2522

Largest 10 diffraction maxima, in order of rising 2θ, 2θ from 10° to 90°:
index  2θ (°)  I/Imax
1 0 0  29.20  23.7
0 0 4  31.77  25.2
1 0 2  33.33  100.0
1 0 4  43.68  15.9
1 1 0  51.77  19.3
1 0 6  57.59  21.0
1 1 4  62.02  22.4
2 0 2  62.97  16.1
2 1 2  85.80  14.0
1 1 8  88.87  8.6

Calculated PXRD pattern
Compound: Pr2Zn7In
Radiation: Cu Kα (λ = 1.5418 Å)
Structure: a crystal structure in Alexandria, relaxed with PBE
Neutral-atom scattering factors, no anomalous dispersion.

Structure:
Cell lengths 4.358, 4.358, 10.628 Å; angles 90.00, 90.00, 90.00 degrees
Space group P-4m2 (No. 115)
Unique sites:
Pr1 0.000 0.500 0.237
Zn1 0.000 0.000 0.000
Zn2 0.000 0.500 0.647
Zn3 0.000 0.500 0.877
Zn4 0.500 0.500 0.000
Zn5 0.500 0.500 0.500
In1 0.000 0.000 0.500

Largest 10 diffraction maxima, in order of rising 2θ, 2θ from 10° to 90°:
index  2θ (°)  I/Imax
1 0 3  32.57  48.4
1 1 2  33.62  100.0
2 0 0  41.43  54.0
1 1 4  45.05  11.0
1 0 5  47.60  22.1
2 1 3  53.67  23.1
2 2 0  60.04  17.4
1 1 6  60.26  10.0
2 1 5  64.91  16.9
3 1 2  70.61  25.0

Calculated PXRD pattern
Compound: Ho4SiSbC
Radiation: Cu Kα (λ = 1.5418 Å)
Structure: a crystal structure in Alexandria, relaxed with PBE
Neutral-atom scattering factors, no anomalous dispersion.

Structure:
Cell lengths 6.663, 15.296, 6.673 Å; angles 90.00, 90.00, 90.00 degrees
Space group Cmcm (No. 63)
Unique sites:
Ho1 0.000 0.082 0.250
Ho2 0.000 0.407 0.250
Ho3 0.250 0.250 0.000
Si1 0.000 0.115 0.750
Sb1 0.000 0.393 0.750
C1 0.000 0.246 0.250

Largest 10 diffraction maxima, in order of rising 2θ, 2θ from 10° to 90°:
index  2θ (°)  I/Imax
0 2 0  11.57  22.4
2 2 0  29.22  100.0
0 6 0  35.20  34.5
2 4 0  35.73  99.4
2 0 2  38.17  66.4
2 6 2  52.90  43.0
4 0 0  55.09  22.9
4 2 2  63.58  22.5
4 6 0  67.08  21.0
2 10 0  67.37  32.6

Calculated PXRD pattern
Compound: LaHoNi
Radiation: Cu Kα (λ = 1.5418 Å)
Structure: a crystal structure in Alexandria, relaxed with PBE
Neutral-atom scattering factors, no anomalous dispersion.

Structure:
Cell lengths 16.8186, 16.8186, 5.8402 Å; angles 90.00, 90.00, 120.00 degrees
Space group R-3 (No. 148, hexagonal axes)
Unique sites:
La1 0.0008 0.8635 0.2500
Ho1 0.9996 0.4339 0.7489
Ni1 0.0003 0.4060 0.2495

Largest 10 diffraction maxima, in order of rising 2θ, 2θ from 10° to 90°:
index  2θ (°)  I/Imax
1 1 0  10.52  27.3
1 3 1  26.83  100.0
1 4 0  28.07  20.9
3 3 0  31.93  30.4
2 0 2  33.05  50.7
5 1 1  37.68  30.2
4 -1 2  38.02  41.6
5 2 0  38.60  52.3
0 7 2  54.12  37.2
4 6 1  57.36  23.0